Entry 1:
Diffraction record for NiH2F5. The XRD peak list is theoretical, not measured: it uses the PBE+U geometry in Alexandria and Cu Kα (λ = 1.5418 Å).
Intensities are scaled so that the largest is 100.

```
NiH2F5
1.0
3.4740 -3.7009 0.0000
3.4740 3.7009 0.0000
-1.4455 0.0000 3.5165
Ni H F
1 2 5
Cartesian
0.0000 0.0000 0.0000
2.7680 1.0535 0.3277
2.7680 -1.0535 0.3277
-0.5205 0.0000 1.7935
3.5167 1.6944 0.0676
1.9108 0.0000 0.5968
3.9585 0.0000 2.6604
3.5167 -1.6944 0.0676
```

Top 10 peaks for 15 to 90 degrees two-theta, in order of rising 2θ:
d/Å, 2θ (°), Rel. int.
4.853, 18.28, 100
3.701, 24.05, 43
3.517, 25.33, 49
3.339, 26.70, 46
3.213, 27.76, 33
3.009, 29.69, 14
2.303, 39.11, 26
2.059, 43.99, 42
1.850, 49.24, 17
1.830, 49.83, 15

Entry 2:
Diffraction record for NiH2F6. The XRD peak list is theoretical, not measured: it uses the PBE+U geometry in Alexandria and Cu Kα (λ = 1.5418 Å).
Intensities are scaled so that the largest is 100.

```
NiH2F6
1.0
4.1069 -4.3604 0.0000
4.1069 4.3604 0.0000
-1.6994 0.0000 5.4655
Ni H F
2 4 12
Cartesian
2.8324 3.6438 4.0991
3.6821 -3.6438 1.3664
0.7532 1.6268 3.9422
1.6029 -1.6268 1.2095
4.9117 1.6268 4.2560
5.7613 -1.6268 1.5233
-0.0148 0.7337 3.3568
1.3025 2.3607 4.4244
0.8349 -0.7337 0.6241
2.7722 0.3985 2.3863
4.3623 2.3607 3.7738
1.9226 -0.3985 5.1191
4.5920 0.3985 0.3464
2.1522 -2.3607 1.6917
3.7423 -0.3985 3.0791
5.6796 0.7337 4.8414
5.2120 -2.3607 1.0411
6.5293 -0.7337 2.1087
```

Top 10 peaks for 15 to 90 degrees two-theta, in order of rising 2θ:
d/Å, 2θ (°), Rel. int.
5.832, 15.19, 100
4.516, 19.66, 35
4.360, 20.37, 22
3.922, 22.67, 33
3.409, 26.14, 27
2.916, 30.66, 47
2.847, 31.42, 30
2.716, 32.99, 25
2.288, 39.38, 33
1.974, 45.97, 57

Entry 3:
Diffraction record for SiNiH12O6F6. The XRD peak list is theoretical, not measured: it uses the PBE+U geometry in Alexandria and Cu Kα (λ = 1.5418 Å).
Intensities are scaled so that the largest is 100.

```
SiNiH12O6F6
1.0
4.7510 2.7430 3.2273
-4.7510 2.7430 3.2273
0.0000 -5.4859 3.2273
Si Ni H O F
1 1 12 6 6
Cartesian
0.0000 0.0000 0.0000
0.0000 0.0000 4.8409
-1.6255 -0.1811 2.7131
-2.3408 0.7601 3.7821
0.5121 -2.4072 3.7821
0.9695 -1.3172 2.7131
-1.8287 -1.6471 5.8996
0.6559 1.4982 2.7131
-0.6559 -1.4982 6.9686
1.8287 1.6471 3.7821
-0.9695 1.3172 6.9686
-0.5121 2.4072 5.8996
2.3408 -0.7601 5.8996
1.6255 0.1811 6.9686
-1.7096 0.0146 3.6722
0.8422 -1.4879 3.6722
-0.8675 -1.4733 6.0096
0.8675 1.4733 3.6722
-0.8422 1.4879 6.0096
1.7096 -0.0146 6.0096
-3.4610 -2.1894 5.4605
-3.6266 1.9026 4.2213
0.1656 -4.0920 4.2213
-0.1656 4.0920 5.4605
3.6266 -1.9026 5.4605
3.4610 2.1894 4.2213
```

Top 10 peaks for 15 to 90 degrees two-theta, in order of rising 2θ:
d/Å, 2θ (°), Rel. int.
4.751, 18.68, 100
4.172, 21.29, 59
2.961, 30.18, 20
2.617, 34.27, 39
2.088, 43.33, 13
2.012, 45.05, 11
1.911, 47.58, 22
1.893, 48.05, 11
1.759, 51.99, 8
1.661, 55.33, 17

Entry 4:
Diffraction record for Tl2NiH2F6. The XRD peak list is theoretical, not measured: it uses the PBE+U geometry in Alexandria and Cu Kα (λ = 1.5418 Å).
Intensities are scaled so that the largest is 100.

```
Tl2NiH2F6
1.0
4.6226 -2.9461 0.0000
4.6226 2.9461 0.0000
-4.0653 0.0000 5.6502
Tl Ni H F
2 1 2 6
Cartesian
1.3953 0.0000 1.1531
3.7846 0.0000 4.4971
-2.0327 0.0000 2.8251
0.4951 0.0000 4.1162
4.6848 0.0000 1.5341
1.6207 1.5051 3.8046
3.5592 1.5051 1.8456
-0.4458 0.0000 4.3804
5.6257 0.0000 1.2698
1.6207 -1.5051 3.8046
3.5592 -1.5051 1.8456
```

Top 10 peaks for 15 to 90 degrees two-theta, in order of rising 2θ:
d/Å, 2θ (°), Rel. int.
4.457, 19.92, 100
3.752, 23.71, 36
3.407, 26.15, 54
3.080, 28.99, 86
2.946, 30.34, 43
2.927, 30.55, 32
2.825, 31.67, 27
2.699, 33.19, 70
2.317, 38.86, 47
2.229, 40.48, 60